1.
Tl3IrCl6: theoretical PXRD pattern (Cu Kα), based on DFT lattice parameters and positions (PBE).
Kinematic intensities with the Lorentz-polarization factor, no thermal factor.

Structure:
```
10
Lattice="0.000 5.503 6.338 4.532 0.000 6.338 4.532 5.503 0.000" Properties=species:S:1:pos:R:3 pbc="T T T"
Tl 0.000 0.000 0.000
Tl 2.266 2.752 3.169
Tl 6.798 8.255 9.507
Ir 4.532 5.503 6.338
Cl 6.202 5.503 4.678
Cl 4.532 3.118 6.338
Cl 6.202 5.503 7.998
Cl 2.861 5.503 4.678
Cl 4.532 7.888 6.338
Cl 2.861 5.503 7.998
```

Top 8 peaks for 10° ≤ 2θ ≤ 90°, most intense first:
d (Å), Position (°2θ), I/Imax
3.686, 24.1, 100
4.155, 21.4, 87
2.349, 38.3, 54
2.205, 40.9, 47
3.498, 25.5, 44
2.751, 32.5, 33
1.989, 45.6, 26
3.169, 28.2, 23


2.
Tl2IrCl5: theoretical PXRD pattern (Cu Kα), based on DFT lattice parameters and positions (PBE).
Kinematic intensities with the Lorentz-polarization factor, no thermal factor.

Structure:
```
16
Lattice="7.906 -3.775 0.000 7.906 3.775 0.000 -4.627 0.000 7.600" Properties=species:S:1:pos:R:3 pbc="T T T"
Tl 5.593 3.687 3.800
Tl 8.095 0.096 4.053
Tl 10.408 -0.096 0.253
Tl 7.906 -3.687 0.000
Ir 5.205 -0.002 0.129
Ir 2.892 0.002 3.929
Cl -1.443 0.775 6.763
Cl 5.532 2.143 1.064
Cl 1.735 0.907 5.829
Cl 0.871 -0.775 2.964
Cl 4.912 0.780 4.893
Cl 4.048 -0.907 2.029
Cl 8.158 1.628 6.795
Cl 7.226 -0.780 1.093
Cl 3.219 -2.143 4.864
Cl 10.471 -1.628 2.995
```

Top 8 peaks for 10° ≤ 2θ ≤ 90°, most intense first:
d (Å), Position (°2θ), I/Imax
3.867, 23.0, 100
3.643, 24.4, 85
2.154, 41.9, 47
3.800, 23.4, 47
3.775, 23.6, 46
2.253, 40.0, 43
2.678, 33.5, 43
2.121, 42.6, 28


3.
Zn2IrCl8: theoretical PXRD pattern (Cu Kα), based on DFT lattice parameters and positions (PBE).
Kinematic intensities with the Lorentz-polarization factor, no thermal factor.

Structure:
```
11
Lattice="7.214 0.000 0.000 -3.607 6.247 0.000 0.000 0.000 6.657" Properties=species:S:1:pos:R:3 pbc="T T T"
Zn 0.000 4.165 1.566
Zn 3.607 2.082 5.091
Ir 0.000 0.000 3.329
Cl 0.000 1.838 1.860
Cl -2.015 5.328 1.860
Cl 1.592 0.919 4.797
Cl 0.000 4.165 6.021
Cl 3.607 2.082 0.637
Cl 2.015 5.328 1.860
Cl 5.622 0.919 4.797
Cl 3.607 4.409 4.797
```

Top 8 peaks for 10° ≤ 2θ ≤ 90°, most intense first:
d (Å), Position (°2θ), I/Imax
4.556, 19.5, 100
3.607, 24.7, 44
2.225, 40.5, 32
6.247, 14.2, 30
2.278, 39.6, 25
2.828, 31.6, 20
1.926, 47.2, 20
1.803, 50.6, 17


4.
K6Cl7: theoretical PXRD pattern (Cu Kα), based on DFT lattice parameters and positions (PBE).
Kinematic intensities with the Lorentz-polarization factor, no thermal factor.

Structure:
```
13
Lattice="3.512 2.028 13.249 -3.512 2.028 13.249 0.000 -4.055 13.249" Properties=species:S:1:pos:R:3 pbc="T T T"
K 0.000 0.000 2.553
K 0.000 0.000 8.741
K 0.000 0.000 13.252
K 0.000 0.000 26.494
K 0.000 0.000 31.005
K 0.000 0.000 37.192
Cl -1.746 -1.008 15.556
Cl 0.000 -2.017 24.190
Cl -1.746 1.008 24.190
Cl 0.000 0.000 19.873
Cl 1.746 -1.008 15.556
Cl 0.000 2.017 15.556
Cl 1.746 1.008 24.190
```

Top 8 peaks for 10° ≤ 2θ ≤ 90°, most intense first:
d (Å), Position (°2θ), I/Imax
2.681, 33.4, 100
4.151, 21.4, 60
3.512, 25.4, 55
2.594, 34.6, 45
3.033, 29.5, 40
2.327, 38.7, 35
1.756, 52.1, 34
2.414, 37.3, 28


5.
KCl6: theoretical PXRD pattern (Cu Kα), based on DFT lattice parameters and positions (PBE).
Kinematic intensities with the Lorentz-polarization factor, no thermal factor.

Structure:
```
14
Lattice="6.948 0.000 0.000 0.000 6.948 0.000 0.000 0.000 10.769" Properties=species:S:1:pos:R:3 pbc="T T T"
K 1.737 5.211 0.000
K 5.211 1.737 0.000
Cl 0.219 3.693 4.440
Cl 0.219 6.730 6.329
Cl 1.737 1.737 1.317
Cl 1.737 1.737 9.452
Cl 3.255 3.693 6.329
Cl 3.255 6.730 4.440
Cl 3.693 0.219 6.329
Cl 3.693 3.255 4.440
Cl 5.211 5.211 1.317
Cl 5.211 5.211 9.452
Cl 6.730 0.219 4.440
Cl 6.730 3.255 6.329
```

Top 8 peaks for 10° ≤ 2θ ≤ 90°, most intense first:
d (Å), Position (°2θ), I/Imax
3.306, 27.0, 100
2.457, 36.6, 26
5.384, 16.5, 25
1.538, 60.2, 15
2.898, 30.9, 13
2.692, 33.3, 10
2.361, 38.1, 10
1.702, 53.9, 8


6.
KLaCl2: theoretical PXRD pattern (Cu Kα), based on DFT lattice parameters and positions (PBE).
Kinematic intensities with the Lorentz-polarization factor, no thermal factor.

Structure:
```
4
Lattice="3.976 0.000 0.000 0.000 3.585 0.000 -0.015 0.000 8.441" Properties=species:S:1:pos:R:3 pbc="T T T"
K 0.000 0.000 0.000
La 1.981 0.000 4.221
Cl 1.987 1.793 1.836
Cl 1.975 1.793 6.605
```

Top 8 peaks for 10° ≤ 2θ ≤ 90°, most intense first:
d (Å), Position (°2θ), I/Imax
3.595, 24.8, 100
2.539, 35.3, 91
2.733, 32.8, 90
8.441, 10.5, 64
3.976, 22.4, 58
2.252, 40.0, 45
2.297, 39.2, 43
1.608, 57.3, 33


7.
K2LaCl6: theoretical PXRD pattern (Cu Kα), based on DFT lattice parameters and positions (PBE).
Kinematic intensities with the Lorentz-polarization factor, no thermal factor.

Structure:
```
9
Lattice="4.469 0.000 0.000 0.000 7.093 4.066 0.000 -7.093 4.066" Properties=species:S:1:pos:R:3 pbc="T T T"
K 0.000 -4.713 4.066
K 0.000 4.713 4.066
La 2.235 0.000 4.095
Cl 0.000 -1.697 3.097
Cl 0.000 1.697 3.097
Cl 0.000 0.000 6.052
Cl 2.235 0.000 1.169
Cl 2.235 -2.553 5.530
Cl 2.235 2.553 5.530
```

Top 8 peaks for 10° ≤ 2θ ≤ 90°, most intense first:
d (Å), Position (°2θ), I/Imax
7.068, 12.5, 100
2.296, 39.2, 50
2.769, 32.3, 48
3.777, 23.6, 47
3.013, 29.6, 45
2.352, 38.3, 31
2.288, 39.4, 25
2.778, 32.2, 24


8.
KLa2Cl6: theoretical PXRD pattern (Cu Kα), based on DFT lattice parameters and positions (PBE).
Kinematic intensities with the Lorentz-polarization factor, no thermal factor.

Structure:
```
9
Lattice="0.000 6.677 7.745 2.599 0.000 7.745 2.599 6.677 0.000" Properties=species:S:1:pos:R:3 pbc="T T T"
K 0.000 0.000 0.000
La 2.599 6.677 5.213
La 2.599 6.677 10.277
Cl 2.599 5.089 2.739
Cl 2.599 8.266 2.739
Cl 2.599 5.041 7.745
Cl 2.599 8.313 7.745
Cl 2.599 5.089 12.751
Cl 2.599 8.266 12.751
```

Top 8 peaks for 10° ≤ 2θ ≤ 90°, most intense first:
d (Å), Position (°2θ), I/Imax
6.677, 13.3, 100
2.829, 31.6, 93
2.158, 41.9, 49
2.599, 34.5, 25
2.582, 34.7, 24
3.533, 25.2, 19
4.623, 19.2, 17
1.832, 49.8, 16